Ga3NO3: simulated X-ray powder pattern (CuKα), based on a cell relaxed with GGA-PBE.

Atomic structure:
```
Ga3NO3
1.0
6.1400 0.0000 0.0000
-0.0430 8.3945 0.0000
-0.0801 -4.1681 7.2929
Ga N O
12 4 12
Direct
0.0000 0.0000 0.0000
0.0018 0.5712 0.9201
0.1793 0.1768 0.7593
0.1845 0.8225 0.3308
0.1991 0.2311 0.4034
0.4825 0.9163 0.0902
0.4844 0.4883 0.7486
0.4910 0.8291 0.6624
0.6925 0.3107 0.3136
0.6995 0.6533 0.2472
0.7031 0.2409 0.8996
0.9881 0.6606 0.5803
0.2302 0.4157 0.8063
0.2400 0.0628 0.1554
0.9479 0.0959 0.8446
0.9589 0.6998 0.1716
0.1577 0.0717 0.4985
0.2365 0.7419 0.5121
0.4611 0.0817 0.7812
0.4664 0.7829 0.2211
0.4732 0.3666 0.4854
0.5021 0.7456 0.8324
0.6286 0.3999 0.1529
0.7223 0.7171 0.5019
0.7345 0.4220 0.8277
0.7398 0.0600 0.1551
0.9653 0.3999 0.4396
0.9842 0.7386 0.8273
```

The 12 most intense peaks (2θ from 15° to 90°), most intense first:
32.48 deg, I = 100, (0 1 -3); 32.59 deg, I = 99, (0 3 -2); 35.89 deg, I = 97, (1 2 1); 21.13 deg, I = 73, (0 1 -2); 31.48 deg, I = 63, (2 -1 0); 28.56 deg, I = 61, (1 -2 2); 31.64 deg, I = 60, (2 1 -1); 31.77 deg, I = 59, (2 1 0); 40.05 deg, I = 58, (1 -3 3); 28.31 deg, I = 58, (1 0 -2); 28.64 deg, I = 57, (1 2 0); 18.93 deg, I = 55, (1 -1 1)